(1)
This entry pairs a crystal structure of LaMgNi4 with its simulated powder X-ray diffraction pattern. Radiation: Cu Ka. Structure: the PBE geometry in the Materials Project.

Main lines, by angle (2θ from 10° to 90°):
2theta, Rel. int.
21.6, 17
25.0, 21
35.7, 32
42.1, 100
44.0, 35
64.1, 11
68.5, 30
75.5, 22

```
LaMgNi4
1.0
0.0000 3.5610 3.5610
3.5610 0.0000 3.5610
3.5610 3.5610 0.0000
La Mg Ni
1 1 4
Direct
0.0000 0.0000 0.0000
0.2500 0.2500 0.2500
0.1300 0.6233 0.6233
0.6233 0.1300 0.6233
0.6233 0.6233 0.1300
0.6233 0.6233 0.6233
```

(2)
This entry pairs a crystal structure of LaMg2Ni9 with its simulated powder X-ray diffraction pattern. Radiation: Cu Ka. Structure: the PBE geometry in the Materials Project.

Main lines, by angle (2θ from 10° to 90°):
2theta, Rel. int.
11.2, 34
25.8, 23
36.7, 21
42.8, 30
43.3, 20
43.5, 100
45.9, 29
70.8, 22

```
LaMg2Ni9
1.0
2.4485 1.4136 7.9031
-2.4485 1.4136 7.9031
0.0000 -2.8273 7.9031
La Mg Ni
1 2 9
Direct
0.0000 0.0000 0.0000
0.1449 0.1449 0.1449
0.8551 0.8551 0.8551
0.0828 0.5870 0.5870
0.3335 0.3335 0.3335
0.4130 0.4130 0.9172
0.4130 0.9172 0.4130
0.5000 0.5000 0.5000
0.5870 0.0828 0.5870
0.5870 0.5870 0.0828
0.6665 0.6665 0.6665
0.9172 0.4130 0.4130
```

(3)
This entry pairs a crystal structure of La2MgNi2 with its simulated powder X-ray diffraction pattern. Radiation: Cu Ka. Structure: the PBE geometry in the Materials Project.

Main lines, by angle (2θ from 10° to 90°):
2theta, Rel. int.
16.4, 19
23.3, 14
26.0, 15
32.6, 26
34.7, 100
37.2, 23
49.1, 14
54.7, 16

```
La2MgNi2
1.0
10.9804 0.0000 0.0000
0.0000 7.6530 0.0000
-0.3379 0.0000 10.9853
La Mg Ni
16 8 16
Direct
0.0858 0.1796 0.0815
0.0858 0.3204 0.5815
0.1666 0.6763 0.1574
0.1666 0.8237 0.6574
0.3339 0.1738 0.8262
0.3339 0.3262 0.3262
0.4112 0.6737 0.9055
0.4112 0.8263 0.4055
0.5888 0.1737 0.5945
0.5888 0.3263 0.0945
0.6661 0.6738 0.6738
0.6661 0.8262 0.1738
0.8334 0.1763 0.3426
0.8334 0.3237 0.8426
0.9142 0.6796 0.4185
0.9142 0.8204 0.9185
0.1209 0.0009 0.3671
0.1209 0.4991 0.8672
0.3736 0.0028 0.1126
0.3736 0.4972 0.6126
0.6264 0.5028 0.3874
0.6264 0.9972 0.8874
0.8791 0.5009 0.1328
0.8791 0.9991 0.6328
0.0623 0.1238 0.8141
0.0623 0.3762 0.3141
0.1790 0.6282 0.4260
0.1790 0.8718 0.9260
0.3212 0.1308 0.5556
0.3212 0.3692 0.0556
0.4322 0.6366 0.1675
0.4322 0.8634 0.6675
0.5678 0.1366 0.3325
0.5678 0.3634 0.8325
0.6788 0.6308 0.9444
0.6788 0.8692 0.4444
0.8210 0.1282 0.0740
0.8210 0.3718 0.5740
0.9377 0.6238 0.6859
0.9377 0.8762 0.1859
```

(4)
This entry pairs a crystal structure of LaMg3O4 with its simulated powder X-ray diffraction pattern. Radiation: Cu Ka. Structure: the PBE geometry in the Materials Project.

Main lines, by angle (2θ from 10° to 90°):
2theta, Rel. int.
18.7, 93
26.6, 81
32.7, 55
37.9, 100
42.6, 46
46.9, 35
54.7, 63
65.2, 27

```
LaMg3O4
1.0
4.7452 0.0000 0.0000
0.0000 4.7452 0.0000
0.0000 0.0000 4.7452
La Mg O
1 3 4
Direct
0.0000 0.0000 0.0000
0.0000 0.5000 0.5000
0.5000 0.0000 0.5000
0.5000 0.5000 0.0000
0.0000 0.0000 0.5000
0.0000 0.5000 0.0000
0.5000 0.0000 0.0000
0.5000 0.5000 0.5000
```

(5)
This entry pairs a crystal structure of La2MgO4 with its simulated powder X-ray diffraction pattern. Radiation: Cu Ka. Structure: the PBE geometry in the Materials Project.

Main lines, by angle (2θ from 10° to 90°):
2theta, Rel. int.
23.5, 73
31.1, 100
31.6, 38
32.1, 40
43.1, 27
43.6, 36
45.7, 40
56.6, 39

```
La2MgO4
1.0
2.7857 -6.2383 0.0000
2.7857 6.2383 0.0000
0.0000 0.0000 5.6702
La Mg O
4 2 8
Direct
0.1377 0.8623 0.9870
0.3623 0.6377 0.4870
0.6377 0.3623 0.5130
0.8623 0.1377 0.0130
0.0000 0.0000 0.5000
0.5000 0.5000 0.0000
0.1790 0.8210 0.5633
0.2350 0.2650 0.7500
0.2650 0.2350 0.2500
0.3210 0.6790 0.0633
0.6790 0.3210 0.9367
0.7350 0.7650 0.7500
0.7650 0.7350 0.2500
0.8210 0.1790 0.4367
```

(6)
This entry pairs a crystal structure of La2MgO4 with its simulated powder X-ray diffraction pattern. Radiation: Cu Ka. Structure: the PBE geometry in the Materials Project.

Main lines, by angle (2θ from 10° to 90°):
2theta, Rel. int.
23.7, 74
28.5, 27
31.2, 100
32.2, 82
43.5, 59
46.2, 43
56.4, 21
56.8, 38

```
La2MgO4
1.0
-1.9664 1.9664 6.2718
1.9664 -1.9664 6.2718
1.9664 1.9664 -6.2718
La Mg O
2 1 4
Direct
0.1373 0.1373 0.0000
0.8627 0.8627 0.0000
0.5000 0.5000 0.0000
0.0000 0.5000 0.5000
0.3214 0.3214 0.0000
0.5000 0.0000 0.5000
0.6786 0.6786 0.0000
```

(7)
This entry pairs a crystal structure of RbLaMg14O16 with its simulated powder X-ray diffraction pattern. Radiation: Cu Ka. Structure: the PBE geometry in the Materials Project.

Main lines, by angle (2θ from 10° to 90°):
2theta, Rel. int.
14.2, 38
20.1, 29
24.1, 33
34.8, 47
39.4, 58
40.9, 100
58.1, 63
59.2, 29

```
RbLaMg14O16
1.0
8.8315 0.0000 0.0000
0.0000 8.8315 0.0000
0.0000 0.0000 4.5723
Rb La Mg O
1 1 14 16
Direct
0.0000 0.0000 0.0000
0.5000 0.5000 0.0000
0.0000 0.2509 0.5000
0.0000 0.5000 0.0000
0.0000 0.7491 0.5000
0.2314 0.5000 0.5000
0.2411 0.2411 0.0000
0.2411 0.7589 0.0000
0.2509 0.0000 0.5000
0.5000 0.0000 0.0000
0.5000 0.2314 0.5000
0.5000 0.7686 0.5000
0.7491 0.0000 0.5000
0.7589 0.2411 0.0000
0.7589 0.7589 0.0000
0.7686 0.5000 0.5000
0.0000 0.0000 0.5000
0.0000 0.2786 0.0000
0.0000 0.5000 0.5000
0.0000 0.7214 0.0000
0.2357 0.5000 0.0000
0.2516 0.2516 0.5000
0.2516 0.7484 0.5000
0.2786 0.0000 0.0000
0.5000 0.0000 0.5000
0.5000 0.2357 0.0000
0.5000 0.5000 0.5000
0.5000 0.7643 0.0000
0.7214 0.0000 0.0000
0.7484 0.2516 0.5000
0.7484 0.7484 0.5000
0.7643 0.5000 0.0000
```

(8)
This entry pairs a crystal structure of RbLaMg14O16 with its simulated powder X-ray diffraction pattern. Radiation: Cu Ka. Structure: the PBE geometry in the Materials Project.

Main lines, by angle (2θ from 10° to 90°):
2theta, Rel. int.
10.1, 71
34.6, 82
39.6, 100
39.8, 96
41.1, 89
57.4, 58
58.4, 57
58.6, 51

```
RbLaMg14O16
1.0
4.5534 0.0000 0.0000
0.0000 8.7817 0.0000
0.0000 0.0000 9.0540
Rb La Mg O
1 1 14 16
Direct
0.0000 0.0000 0.0000
0.0000 0.0000 0.5000
0.0000 0.2627 0.2401
0.0000 0.2627 0.7599
0.0000 0.5000 0.0000
0.0000 0.5000 0.5000
0.0000 0.7373 0.2401
0.0000 0.7373 0.7599
0.5000 0.0000 0.2327
0.5000 0.0000 0.7673
0.5000 0.2572 0.0000
0.5000 0.2667 0.5000
0.5000 0.5000 0.2462
0.5000 0.5000 0.7538
0.5000 0.7333 0.5000
0.5000 0.7428 0.0000
0.0000 0.0000 0.2588
0.0000 0.0000 0.7412
0.0000 0.2727 0.5000
0.0000 0.2822 0.0000
0.0000 0.5000 0.2534
0.0000 0.5000 0.7466
0.0000 0.7178 0.0000
0.0000 0.7273 0.5000
0.5000 0.0000 0.0000
0.5000 0.0000 0.5000
0.5000 0.2511 0.2504
0.5000 0.2511 0.7496
0.5000 0.5000 0.0000
0.5000 0.5000 0.5000
0.5000 0.7489 0.2504
0.5000 0.7489 0.7496
```